Starting from a crystal structure in the Materials Project, relaxed with PBE+U, the X-ray diffraction stick pattern of LiMnPO4 was simulated for Cu Kα.
Neutral-atom scattering factors, no anomalous dispersion.

Largest 6 diffraction maxima, low angle first, 2θ = 10–90°:
Position (°2θ)	d_spacing	intensity
18.3	4.850	40
23.4	3.795	55
27.1	3.286	41
29.9	2.988	81
30.8	2.901	41
32.9	2.720	100

Structural model:
abc: 7.5890 7.5890 9.6997
angles: 90.00 90.00 120.00
Space group P31c (No. 159)
Asymmetric unit:
Li  0.0446  0.2498  0.0000
Mn  0.0422  0.5809  0.2258
P  0.0000  0.0000  0.2456
P  0.3333  0.6667  0.5152
P  0.3333  0.6667  0.9299
O  0.0000  0.0000  0.4052
O  0.0976  0.8761  0.1887
O  0.1228  0.4961  0.5646
O  0.1790  0.7288  0.8778
O  0.3333  0.6667  0.0924
O  0.3333  0.6667  0.3514

=====

Starting from a crystal structure in the Materials Project, relaxed with PBE+U, the X-ray diffraction stick pattern of LiMnPO4 was simulated for Cu Kα.
Neutral-atom scattering factors, no anomalous dispersion.

Largest 6 diffraction maxima, low angle first, 2θ = 10–90°:
Position (°2θ)	d_spacing	intensity
19.7	4.515	100
24.5	3.631	33
29.8	2.994	54
33.3	2.690	98
34.9	2.568	50
52.2	1.752	46

Structural model:
abc: 5.7642 11.3151 9.4710
angles: 90.00 90.00 90.00
Space group Fdd2 (No. 43)
Asymmetric unit:
Li  0.0000  0.0000  0.0000
Mn  0.0000  0.0000  0.6227
P  0.0000  0.0000  0.3052
O  0.0874  0.3237  0.4593
O  0.1039  0.1727  0.6604

=====

Starting from a crystal structure in the Materials Project, relaxed with PBE+U, the X-ray diffraction stick pattern of LiMnP2O7 was simulated for Cu Kα.
Neutral-atom scattering factors, no anomalous dispersion.

Largest 6 diffraction maxima, low angle first, 2θ = 10–90°:
Position (°2θ)	d_spacing	intensity
17.7	5.023	22
22.1	4.019	100
23.4	3.802	37
24.4	3.652	12
26.3	3.390	21
34.7	2.587	22

Structural model:
abc: 5.1323 12.9531 9.2340
angles: 90.00 120.50 90.00
Space group P2_1/c (No. 14)
Asymmetric unit:
Li  0.0687  0.1738  0.3573
Mn  0.3766  0.1418  0.1542
P  0.0884  0.0225  0.7964
P  0.2359  0.6918  0.9442
O  0.0450  0.2206  0.5493
O  0.0521  0.0606  0.1473
O  0.1915  0.5779  0.8646
O  0.2573  0.1075  0.9270
O  0.2788  0.5280  0.2330
O  0.2961  0.7369  0.3311
O  0.4729  0.1830  0.3823

=====

Starting from a crystal structure in the Materials Project, relaxed with PBE+U, the X-ray diffraction stick pattern of LiMnPO4 was simulated for Cu Kα.
Neutral-atom scattering factors, no anomalous dispersion.

Largest 6 diffraction maxima, low angle first, 2θ = 10–90°:
Position (°2θ)	d_spacing	intensity
21.4	4.144	100
25.3	3.523	98
31.1	2.872	97
33.7	2.663	88
48.4	1.882	41
64.9	1.437	55

Structural model:
abc: 14.0904 14.0904 9.4351
angles: 90.00 90.00 120.00
Space group R3 (No. 146, hexagonal axes)
Asymmetric unit:
Li  0.0109  0.8067  0.0000
Li  0.1409  0.4514  0.1636
Mn  0.0189  0.8065  0.3338
Mn  0.1412  0.4579  0.4961
P  0.0146  0.8029  0.6670
P  0.1362  0.4586  0.8318
O  0.0103  0.6905  0.6675
O  0.0213  0.3536  0.8345
O  0.0665  0.8665  0.8065
O  0.0810  0.8716  0.5358
O  0.1068  0.2139  0.1594
O  0.2009  0.4600  0.6978
O  0.2011  0.4640  0.9685
O  0.2194  0.7723  0.3245

=====

Starting from a crystal structure in the Materials Project, relaxed with PBE+U, the X-ray diffraction stick pattern of LiMnPO5 was simulated for Cu Kα.
Neutral-atom scattering factors, no anomalous dispersion.

Largest 6 diffraction maxima, low angle first, 2θ = 10–90°:
Position (°2θ)	d_spacing	intensity
18.2	4.863	51
18.7	4.748	96
28.0	3.182	99
28.2	3.170	70
29.7	3.006	100
36.5	2.463	63

Structural model:
abc: 6.7077 6.9422 8.0134
angles: 89.80 88.70 63.69
Space group P-1 (No. 2)
Asymmetric unit:
Li  0.2109  0.2965  0.4338
Li  0.2782  0.7771  0.0670
Mn  0.2536  0.4971  0.7529
Mn  0.2536  0.9967  0.7479
P  0.2387  0.7452  0.4163
P  0.2601  0.2536  0.0845
O  0.0540  0.4218  0.1801
O  0.0707  0.8712  0.2797
O  0.1439  0.6190  0.5285
O  0.2111  0.0898  0.9841
O  0.2326  0.7558  0.8322
O  0.2688  0.2423  0.6688
O  0.3021  0.8954  0.5197
O  0.3643  0.3674  0.9694
O  0.4208  0.1400  0.2284
O  0.4392  0.5838  0.3115

=====

Starting from a crystal structure in the Materials Project, relaxed with PBE+U, the X-ray diffraction stick pattern of LiMnPO4 was simulated for Cu Kα.
Neutral-atom scattering factors, no anomalous dispersion.

Largest 6 diffraction maxima, low angle first, 2θ = 10–90°:
Position (°2θ)	d_spacing	intensity
19.3	4.599	10
23.4	3.796	100
33.0	2.714	8
43.4	2.084	20
54.5	1.683	9
57.4	1.605	12

Structural model:
abc: 5.3109 5.3109 13.4488
angles: 90.00 90.00 120.00
Space group P6_222 (No. 180)
Asymmetric unit:
Li  0.0000  0.0000  0.0000
Mn  0.0000  0.5000  0.1667
P  0.0000  0.5000  0.6667
O  0.1805  0.4052  0.7313